Diffraction record for La2Dy6Ho3. The X-ray diffraction stick pattern is theoretical, not measured: it uses a cell relaxed with GGA-PBE and λ = 1.5418 Å (Cu Kα).
Neutral-atom scattering factors, no anomalous dispersion.

Structure:
a = 4.748 Å, b = 4.748 Å, c = 33.568 Å
α = 90.00°, β = 90.00°, γ = 90.00°
Space group I4/mmm (No. 139)
Unique sites:
La  0.000  0.000  0.046
Dy  0.000  0.000  0.197
Dy  0.000  0.500  0.124
Ho  0.000  0.000  0.298
Ho  0.000  0.000  0.500

Largest 10 diffraction maxima, low angle first, 5° ≤ 2θ ≤ 70°:
(hkl)  2theta  I/Imax
0 0 10  26.6  182
1 1 4  28.6  1000
0 0 12  32.0  232
1 1 8  34.2  746
2 0 0  37.9  679
2 0 12  50.4  260
2 2 0  54.7  209
1 1 20  61.8  313
3 1 4  62.9  217
3 1 8  66.1  222



Diffraction record for Tb5PrSm6. The X-ray diffraction stick pattern is theoretical, not measured: it uses a cell relaxed with GGA-PBE and λ = 1.5418 Å (Cu Kα).
Neutral-atom scattering factors, no anomalous dispersion.

Structure:
a = 6.250 Å, b = 10.821 Å, c = 11.956 Å
α = 90.00°, β = 100.02°, γ = 90.00°
Space group C2/m (No. 12)
Unique sites:
Tb  0.000  0.000  0.000
Tb  0.000  0.167  0.500
Tb  0.000  0.333  0.000
Pr  0.000  0.500  0.500
Sm  0.249  0.167  0.248
Sm  0.250  0.000  0.751

Largest 5 diffraction maxima, low angle first, 5° ≤ 2θ ≤ 70°:
(hkl)  2theta  I/Imax
1 3 1  30.4  1000
2 0 2  35.2  507
1 3 5  50.6  362
4 0 0  60.2  430
2 6 2  63.1  124



Diffraction record for Pr2Ni3Sn4. The X-ray diffraction stick pattern is theoretical, not measured: it uses a cell relaxed with GGA-PBE and λ = 1.5418 Å (Cu Kα).
Neutral-atom scattering factors, no anomalous dispersion.

Structure:
a = 5.769 Å, b = 10.304 Å, c = 13.002 Å
α = 90.00°, β = 90.00°, γ = 90.00°
Space group Fmmm (No. 69)
Unique sites:
Pr  0.000  0.000  0.130
Ni  0.000  0.000  0.500
Ni  0.250  0.250  0.000
Sn  0.000  0.167  0.348

Largest 10 diffraction maxima, low angle first, 5° ≤ 2θ ≤ 70°:
(hkl)  2theta  I/Imax
0 0 4  27.4  199
2 0 0  31.0  804
1 3 3  36.8  1000
2 2 2  38.3  106
0 0 6  41.7  140
2 0 4  41.9  322
1 3 7  58.7  181
3 3 3  59.0  258
0 6 4  61.0  107
2 6 0  63.0  171



Diffraction record for RbCaBrCl2. The X-ray diffraction stick pattern is theoretical, not measured: it uses a cell relaxed with GGA-PBE and λ = 1.5418 Å (Cu Kα).
Neutral-atom scattering factors, no anomalous dispersion.

Structure:
a = 5.413 Å, b = 5.413 Å, c = 5.775 Å
α = 90.00°, β = 90.00°, γ = 90.00°
Space group P4/mmm (No. 123)
Unique sites:
Rb  0.000  0.000  0.000
Ca  0.500  0.500  0.500
Br  0.500  0.500  0.000
Cl  0.000  0.500  0.500

Largest 10 diffraction maxima, low angle first, 5° ≤ 2θ ≤ 70°:
(hkl)  2theta  I/Imax
1 1 0  23.2  374
1 1 1  28.0  1000
0 0 2  31.0  386
2 0 0  33.1  640
1 1 2  39.1  199
2 0 2  46.0  480
2 2 0  47.5  217
1 1 3  53.3  159
3 1 1  56.0  257
2 2 2  57.8  234